No. 1
Computed powder X-ray diffraction pattern of MnOsRh2 for Cu Kα (weighted mean of Kα1 and Kα2), from a DFT-relaxed cell (PBE, Alexandria).

Structural model:
abc: 2.6999 3.7665 5.4014
angles: 90.00 90.00 90.00
Space group Pmm2 (No. 25)
Symmetry-distinct sites (fractional):
1 Mn 0.0000 0.0000 0.0000
2 Os 0.5000 0.5000 0.2408
3 Rh 0.0000 0.0000 0.4884
4 Rh 0.5000 0.5000 0.7570

Peak list (10 most intense, 2θ = 15–90°, in order of rising 2θ)
| 2theta | I (rel.) | index |
| --- | --- | --- |
| 16.41 | 10 | 0 0 1 |
| 23.62 | 9 | 0 1 0 |
| 41.13 | 100 | 1 1 0 |
| 47.63 | 32 | 1 0 2 |
| 48.33 | 16 | 0 2 0 |
| 69.64 | 10 | 2 0 0 |
| 70.19 | 20 | 1 2 2 |
| 84.20 | 24 | 2 1 2 |
| 85.24 | 12 | 1 3 0 |
| 89.27 | 11 | 2 2 0 |

---

No. 2
Computed powder X-ray diffraction pattern of Tm3B2Pt9 for Cu Kα (weighted mean of Kα1 and Kα2), from a DFT-relaxed cell (PBE, Alexandria).

Structural model:
abc: 5.9793 5.9793 14.5822
angles: 90.00 90.00 120.00
Space group P6_3/mmc (No. 194)
Symmetry-distinct sites (fractional):
1 Tm 0.0000 0.0000 0.2500
2 Tm 0.3333 0.6667 0.0786
3 B 0.3333 0.6667 0.6606
4 Pt 0.0158 0.5079 0.2500
5 Pt 0.1603 0.3206 0.5810

Peak list (10 most intense, 2θ = 15–90°, in order of rising 2θ)
| 2theta | I (rel.) | index |
| --- | --- | --- |
| 35.21 | 31 | 2 0 1 |
| 36.84 | 94 | 2 0 2 |
| 36.99 | 59 | 0 0 6 |
| 39.43 | 100 | 2 0 3 |
| 42.84 | 55 | 2 0 4 |
| 46.92 | 23 | 2 0 5 |
| 62.09 | 40 | 2 2 0 |
| 62.29 | 23 | 2 0 8 |
| 68.29 | 20 | 2 0 9 |
| 74.51 | 57 | 2 2 6 |

---

No. 3
Computed powder X-ray diffraction pattern of Pr5H2Se5 for Cu Kα (weighted mean of Kα1 and Kα2), from a DFT-relaxed cell (PBE, Alexandria).

Structural model:
abc: 13.6154 4.1115 11.3924
angles: 90.00 109.98 90.00
Space group C2/m (No. 12)
Symmetry-distinct sites (fractional):
1 Pr 0.0000 0.0000 0.0000
2 Pr 0.1031 0.0000 0.3893
3 Pr 0.1768 0.5000 0.7900
4 H 0.0597 0.0000 0.7944
5 Se 0.0000 0.5000 0.5000
6 Se 0.1635 0.5000 0.0471
7 Se 0.2464 0.5000 0.3534

Peak list (10 most intense, 2θ = 15–90°, in order of rising 2θ)
| 2theta | I (rel.) | index |
| --- | --- | --- |
| 24.05 | 41 | 2 0 -3 |
| 25.00 | 24 | 0 0 3 |
| 25.07 | 59 | 2 0 2 |
| 29.34 | 100 | 3 1 -1 |
| 30.19 | 27 | 3 1 0 |
| 30.86 | 41 | 3 1 -2 |
| 35.77 | 33 | 1 1 3 |
| 38.72 | 44 | 1 1 -4 |
| 44.05 | 37 | 0 2 0 |
| 44.35 | 23 | 6 0 -4 |

---

No. 4
Computed powder X-ray diffraction pattern of AcDyY5Ho2 for Cu Kα (weighted mean of Kα1 and Kα2), from a DFT-relaxed cell (PBE, Alexandria).

Structural model:
abc: 5.5525 23.8519 9.3629
angles: 90.00 90.00 90.00
Space group Cmc2_1 (No. 36)
Symmetry-distinct sites (fractional):
1 Ac 0.0000 0.1026 0.0000
2 Dy 0.0000 0.2604 0.3911
3 Y 0.0000 0.0248 0.6804
4 Y 0.0000 0.1046 0.3982
5 Y 0.0000 0.1908 0.7018
6 Y 0.0000 0.2426 0.0628
7 Y 0.0000 0.4917 0.9064
8 Ho 0.0000 0.3297 0.7511
9 Ho 0.0000 0.3863 0.1453

Peak list (10 most intense, 2θ = 15–90°, in order of rising 2θ)
| 2theta | I (rel.) | index |
| --- | --- | --- |
| 21.71 | 24 | 1 3 1 |
| 27.33 | 23 | 1 3 2 |
| 29.48 | 18 | 0 6 2 |
| 29.59 | 18 | 0 2 3 |
| 31.24 | 47 | 1 5 2 |
| 32.26 | 100 | 2 0 0 |
| 33.14 | 39 | 1 1 3 |
| 44.29 | 24 | 2 6 2 |
| 54.89 | 11 | 1 9 4 |
| 57.52 | 11 | 3 7 1 |

---

No. 5
Computed powder X-ray diffraction pattern of TaNi3 for Cu Kα (weighted mean of Kα1 and Kα2), from a DFT-relaxed cell (PBE, Alexandria).

Structural model:
abc: 4.2489 5.1091 4.5611
angles: 90.00 90.00 90.00
Space group Pmmn (No. 59, origin choice 2)
Symmetry-distinct sites (fractional):
1 Ta 0.2500 0.2500 0.1505
2 Ni 0.2500 0.0002 0.6586
3 Ni 0.2500 0.7500 0.1805

Peak list (10 most intense, 2θ = 15–90°, in order of rising 2θ)
| 2theta | I (rel.) | index |
| --- | --- | --- |
| 26.19 | 17 | 0 1 1 |
| 27.30 | 27 | 1 1 0 |
| 40.47 | 31 | 0 2 1 |
| 42.55 | 45 | 2 0 0 |
| 45.12 | 62 | 1 0 2 |
| 45.98 | 100 | 1 2 1 |
| 60.17 | 18 | 2 2 1 |
| 72.32 | 18 | 0 2 3 |
| 80.32 | 18 | 3 2 1 |
| 87.69 | 20 | 2 2 3 |

---

No. 6
Computed powder X-ray diffraction pattern of KBa3Ni2H8 for Cu Kα (weighted mean of Kα1 and Kα2), from a DFT-relaxed cell (PBE, Alexandria).

Structural model:
abc: 5.6098 5.6098 8.5543
angles: 90.00 90.00 120.00
Space group P-3m1 (No. 164)
Symmetry-distinct sites (fractional):
1 K 0.0000 0.0000 0.0000
2 Ba 0.0000 0.0000 0.5000
3 Ba 0.3333 0.6667 0.2262
4 Ni 0.3333 0.6667 0.7176
5 H 0.1732 0.3464 0.7687
6 H 0.3333 0.6667 0.5327

Peak list (10 most intense, 2θ = 15–90°, in order of rising 2θ)
| 2theta | I (rel.) | index |
| --- | --- | --- |
| 20.77 | 10 | 0 0 2 |
| 21.03 | 29 | 1 0 1 |
| 27.79 | 100 | 0 1 2 |
| 31.91 | 80 | 1 1 0 |
| 38.38 | 11 | 1 1 2 |
| 42.81 | 31 | 2 0 2 |
| 53.91 | 25 | 1 1 4 |
| 54.37 | 29 | 1 2 2 |
| 56.86 | 15 | 3 0 0 |
| 73.72 | 12 | 3 1 2 |

---

No. 7
Computed powder X-ray diffraction pattern of Zn11Pt2 for Cu Kα (weighted mean of Kα1 and Kα2), from a DFT-relaxed cell (PBE, Alexandria).

Structural model:
abc: 9.1524 9.1524 9.1524
angles: 90.00 90.00 90.00
Space group I-43m (No. 217)
Symmetry-distinct sites (fractional):
1 Zn 0.0000 0.0000 0.3579
2 Zn 0.0368 0.3135 0.3135
3 Zn 0.1095 0.1095 0.1095
4 Pt 0.1731 0.1731 0.8269

Peak list (10 most intense, 2θ = 15–90°, in order of rising 2θ)
| 2theta | I (rel.) | index |
| --- | --- | --- |
| 19.40 | 4 | 2 0 0 |
| 23.81 | 21 | 2 1 1 |
| 30.90 | 3 | 3 1 0 |
| 41.88 | 100 | 3 3 0 |
| 46.54 | 4 | 3 3 2 |
| 48.74 | 7 | 4 2 2 |
| 60.71 | 13 | 6 0 0 |
| 71.40 | 5 | 4 4 4 |
| 76.48 | 22 | 6 3 3 |
| 86.36 | 12 | 7 4 1 |

---

No. 8
Computed powder X-ray diffraction pattern of Ac2TlGa for Cu Kα (weighted mean of Kα1 and Kα2), from a DFT-relaxed cell (PBE, Alexandria).

Structural model:
abc: 5.7248 5.7248 4.0348
angles: 90.00 90.00 90.00
Space group P4/mmm (No. 123)
Symmetry-distinct sites (fractional):
1 Ac 0.0000 0.5000 0.0000
2 Tl 0.0000 0.0000 0.5000
3 Ga 0.5000 0.5000 0.5000

Peak list (10 most intense, 2θ = 15–90°, in order of rising 2θ)
| 2theta | I (rel.) | index |
| --- | --- | --- |
| 15.48 | 5 | 1 0 0 |
| 21.98 | 6 | 1 1 0 |
| 31.28 | 100 | 2 0 0 |
| 44.78 | 13 | 2 2 0 |
| 44.93 | 6 | 0 0 2 |
| 55.68 | 40 | 3 1 1 |
| 65.30 | 8 | 2 2 2 |
| 74.07 | 12 | 4 2 0 |
| 74.32 | 6 | 1 1 3 |
| 82.67 | 4 | 4 0 2 |

---

No. 9
Computed powder X-ray diffraction pattern of InBi3S6 for Cu Kα (weighted mean of Kα1 and Kα2), from a DFT-relaxed cell (PBE, Alexandria).

Structural model:
abc: 11.1668 13.9072 6.7205
angles: 90.00 90.00 90.00
Space group Cmc2_1 (No. 36)
Symmetry-distinct sites (fractional):
1 In 0.0000 0.1969 0.0000
2 Bi 0.0000 0.4006 0.6043
3 Bi 0.1875 0.1052 0.5438
4 S 0.0000 0.0376 0.8289
5 S 0.0000 0.2201 0.3614
6 S 0.1611 0.4741 0.3234
7 S 0.1700 0.2699 0.8085

Peak list (10 most intense, 2θ = 15–90°, in order of rising 2θ)
| 2theta | I (rel.) | index |
| --- | --- | --- |
| 16.66 | 16 | 1 1 1 |
| 24.36 | 100 | 2 2 1 |
| 24.65 | 50 | 1 3 1 |
| 24.76 | 16 | 3 1 0 |
| 26.53 | 16 | 0 0 2 |
| 36.60 | 34 | 3 1 2 |
| 37.21 | 31 | 0 4 2 |
| 40.49 | 32 | 3 5 0 |
| 47.15 | 21 | 5 3 1 |
| 49.06 | 15 | 3 5 2 |

---

No. 10
Computed powder X-ray diffraction pattern of Rb3Tl2Br7 for Cu Kα (weighted mean of Kα1 and Kα2), from a DFT-relaxed cell (PBE, Alexandria).

Structural model:
abc: 5.8233 5.8233 29.0819
angles: 90.00 90.00 90.00
Space group I4/mmm (No. 139)
Symmetry-distinct sites (fractional):
1 Rb 0.0000 0.0000 0.0000
2 Rb 0.0000 0.0000 0.1797
3 Tl 0.0000 0.0000 0.3973
4 Br 0.0000 0.0000 0.2971
5 Br 0.0000 0.0000 0.5000
6 Br 0.0000 0.5000 0.0990

Peak list (10 most intense, 2θ = 15–90°, in order of rising 2θ)
| 2theta | I (rel.) | index |
| --- | --- | --- |
| 15.52 | 39 | 1 0 1 |
| 21.59 | 68 | 1 1 0 |
| 30.72 | 100 | 2 0 0 |
| 31.67 | 26 | 1 0 9 |
| 37.86 | 26 | 1 1 10 |
| 44.00 | 68 | 2 2 0 |
| 44.69 | 20 | 2 1 9 |
| 54.62 | 22 | 2 2 10 |
| 72.63 | 27 | 4 2 0 |
| 80.90 | 19 | 4 2 10 |

---

No. 11
Computed powder X-ray diffraction pattern of Li3ZnF6 for Cu Kα (weighted mean of Kα1 and Kα2), from a DFT-relaxed cell (PBE, Alexandria).

Structural model:
abc: 8.5798 8.5798 10.2684
angles: 90.00 90.00 120.00
Space group R-3 (No. 148, hexagonal axes)
Symmetry-distinct sites (fractional):
1 Li 0.0410 0.7767 0.2097
2 Zn 0.0000 0.0000 0.0000
3 Zn 0.0000 0.0000 0.5000
4 F 0.0217 0.8332 0.8787
5 F 0.0289 0.8215 0.3976

Peak list (10 most intense, 2θ = 15–90°, in order of rising 2θ)
| 2theta | I (rel.) | index |
| --- | --- | --- |
| 20.71 | 90 | 1 1 0 |
| 21.03 | 100 | 0 1 2 |
| 29.68 | 63 | 2 0 2 |
| 36.47 | 62 | 3 -2 2 |
| 42.82 | 14 | 0 2 4 |
| 47.54 | 41 | 4 -1 2 |
| 48.02 | 57 | 3 -1 4 |
| 56.78 | 33 | 4 1 0 |
| 57.33 | 17 | 4 -3 4 |
| 58.02 | 14 | 1 1 6 |

---

No. 12
Computed powder X-ray diffraction pattern of Ce5HN4 for Cu Kα (weighted mean of Kα1 and Kα2), from a DFT-relaxed cell (PBE, Alexandria).

Structural model:
abc: 3.5818 3.5818 24.7649
angles: 90.00 90.00 90.00
Space group I4/mmm (No. 139)
Symmetry-distinct sites (fractional):
1 Ce 0.0000 0.0000 0.0000
2 Ce 0.0000 0.0000 0.1994
3 Ce 0.0000 0.0000 0.4004
4 H 0.0000 0.0000 0.5000
5 N 0.0000 0.0000 0.0997
6 N 0.0000 0.0000 0.3021

Peak list (10 most intense, 2θ = 15–90°, in order of rising 2θ)
| 2theta | I (rel.) | index |
| --- | --- | --- |
| 30.81 | 100 | 1 0 5 |
| 35.44 | 48 | 1 1 0 |
| 36.27 | 22 | 0 0 10 |
| 50.99 | 17 | 2 0 0 |
| 51.62 | 32 | 1 1 10 |
| 60.77 | 30 | 2 1 5 |
| 61.88 | 14 | 1 0 15 |
| 64.18 | 16 | 2 0 10 |
| 84.22 | 12 | 2 1 15 |
| 85.78 | 7 | 3 1 0 |